Diffraction record for Mo2Pd2Pt5. The X-ray powder pattern is computed, not measured: it uses a DFT-relaxed cell (PBE, Alexandria) and copper Kα.
Lines closer than 0.1° are merged.

The 10 most intense peaks (10 to 80 degrees two-theta), in order of falling intensity:
d = 2.326 Å, 38.71°, intensity 100
d = 2.382 Å, 37.77°, intensity 88
d = 2.230 Å, 40.45°, intensity 82
d = 2.004 Å, 45.26°, intensity 74
d = 2.191 Å, 41.20°, intensity 58
d = 2.656 Å, 33.75°, intensity 53
d = 1.902 Å, 47.83°, intensity 35
d = 1.837 Å, 49.63°, intensity 34
d = 3.372 Å, 26.43°, intensity 34
d = 2.244 Å, 40.18°, intensity 33

Cell and atoms:
a = 6.960 Å, b = 6.960 Å, c = 9.103 Å
α = 119.92°, β = 119.92°, γ = 22.59°
Atoms (fractional coordinates):
Mo (0.139, 0.139, 0.294)
Mo (0.861, 0.861, 0.706)
Pd (0.440, 0.440, 0.237)
Pd (0.560, 0.560, 0.763)
Pt (0.269, 0.269, 0.875)
Pt (0.358, 0.358, 0.450)
Pt (0.500, 0.500, 0.000)
Pt (0.642, 0.642, 0.550)
Pt (0.731, 0.731, 0.125)

Diffraction record for CePaBe. The X-ray powder pattern is computed, not measured: it uses a DFT-relaxed cell (PBE, Alexandria) and copper Kα.
Lines closer than 0.1° are merged.

The 10 most intense peaks (10 to 80 degrees two-theta), in order of falling intensity:
d = 2.667 Å, 33.60°, intensity 100
d = 2.647 Å, 33.87°, intensity 64
d = 3.030 Å, 29.48°, intensity 55
d = 4.609 Å, 19.26°, intensity 40
d = 2.420 Å, 37.15°, intensity 31
d = 2.136 Å, 42.32°, intensity 29
d = 1.554 Å, 59.50°, intensity 16
d = 1.575 Å, 58.60°, intensity 14
d = 1.589 Å, 58.04°, intensity 12
d = 1.708 Å, 53.67°, intensity 12

Cell and atoms:
a = 10.859 Å, b = 10.233 Å, c = 5.346 Å
α = 81.93°, β = 68.90°, γ = 29.17°
Atoms (fractional coordinates):
Ce (0.054, 0.696, 0.054)
Ce (0.304, 0.946, 0.304)
Ce (0.696, 0.054, 0.696)
Ce (0.946, 0.304, 0.946)
Pa (0.291, 0.291, 0.459)
Pa (0.459, 0.459, 0.291)
Pa (0.541, 0.541, 0.709)
Pa (0.709, 0.709, 0.541)
Be (0.003, 0.003, 0.247)
Be (0.247, 0.247, 0.003)
Be (0.753, 0.753, 0.997)
Be (0.997, 0.997, 0.753)

Diffraction record for Ga2PO6. The X-ray powder pattern is computed, not measured: it uses a DFT-relaxed cell (PBE, Alexandria) and copper Kα.
Lines closer than 0.1° are merged.

The 10 most intense peaks (10 to 80 degrees two-theta), in order of falling intensity:
d = 3.137 Å, 28.45°, intensity 100
d = 1.631 Å, 56.42°, intensity 59
d = 2.406 Å, 37.38°, intensity 57
d = 1.314 Å, 71.84°, intensity 20
d = 1.569 Å, 58.87°, intensity 17
d = 1.303 Å, 72.57°, intensity 12
d = 2.218 Å, 40.67°, intensity 11
d = 2.115 Å, 42.75°, intensity 11
d = 1.403 Å, 66.66°, intensity 11
d = 3.942 Å, 22.55°, intensity 8

Cell and atoms:
a = 4.437 Å, b = 4.437 Å, c = 8.591 Å
α = 90.00°, β = 90.00°, γ = 90.00°
Atoms (fractional coordinates):
Ga (0.000, 0.000, 0.167)
Ga (0.000, 0.000, 0.833)
Ga (0.500, 0.500, 0.333)
Ga (0.500, 0.500, 0.667)
P (0.000, 0.000, 0.500)
P (0.500, 0.500, 0.000)
O (0.184, 0.184, 0.353)
O (0.184, 0.184, 0.647)
O (0.222, 0.222, 0.000)
O (0.278, 0.722, 0.500)
O (0.316, 0.684, 0.147)
O (0.316, 0.684, 0.853)
O (0.684, 0.316, 0.147)
O (0.684, 0.316, 0.853)
O (0.722, 0.278, 0.500)
O (0.778, 0.778, 0.000)
O (0.816, 0.816, 0.353)
O (0.816, 0.816, 0.647)